Structure and calculated powder X-ray diffraction pattern of CrCuTeO6 (a crystal structure in Alexandria, relaxed with PBE+U; Cu Kα, 1.54184 Å).
Peak positions follow from Bragg's law for the DFT cell and can differ from measured ones.

The 10 most intense peaks (2θ = 10–80°), low angle first:
21.5 deg, 4.125 Å, intensity 215, hkl 1 0 1; 27.3 deg, 3.266 Å, intensity 1000, hkl 1 1 0; 35.2 deg, 2.548 Å, intensity 683, hkl 1 0 3; 39.0 deg, 2.309 Å, intensity 167, hkl 2 0 0; 53.6 deg, 1.711 Å, intensity 625, hkl 2 1 3; 56.3 deg, 1.633 Å, intensity 161, hkl 2 2 0; 60.6 deg, 1.528 Å, intensity 78, hkl 0 0 6; 63.7 deg, 1.461 Å, intensity 124, hkl 3 1 0; 67.7 deg, 1.384 Å, intensity 133, hkl 1 1 6; 68.2 deg, 1.375 Å, intensity 196, hkl 3 0 3

Cell and atoms:
Unit cell a=4.6186 b=4.6186 c=9.1670 alpha=90.00 beta=90.00 gamma=90.00
Atoms (fractional coordinates):
Cr  0.0000  0.0000  0.0000
Cr  0.5000  0.5000  0.5000
Cu  0.0000  0.0000  0.3311
Cu  0.5000  0.5000  0.8311
Te  0.0000  0.0000  0.6656
Te  0.5000  0.5000  0.1656
O  0.1909  0.1909  0.8294
O  0.1943  0.1943  0.5038
O  0.1991  0.1991  0.1635
O  0.3009  0.6991  0.6635
O  0.3057  0.6943  0.0038
O  0.3091  0.6909  0.3294
O  0.6909  0.3091  0.3294
O  0.6943  0.3057  0.0038
O  0.6991  0.3009  0.6635
O  0.8009  0.8009  0.1635
O  0.8057  0.8057  0.5038
O  0.8091  0.8091  0.8294